Diffraction record for Ce4Te3N2. The powder XRD pattern is computed, not measured: it uses a GGA-PBE-relaxed structure and a wavelength of 1.5418 Å.

The 10 most intense peaks (15 to 90 degrees two-theta), by angle:
Position (°2θ)  I (rel.)
28.70  58.8
28.85  100.0
30.95  19.9
34.40  67.6
36.56  21.3
38.56  11.3
43.82  22.8
47.08  22.7
53.23  20.9
58.09  16.4

Atomic structure:
a = 7.304 Å, b = 7.304 Å, c = 9.354 Å
α = 118.85°, β = 118.85°, γ = 32.86°
Element x y z (fractional)
1 Ce 0.125 0.125 0.415
2 Ce 0.310 0.310 0.872
3 Ce 0.690 0.690 0.128
4 Ce 0.875 0.875 0.585
5 Te 0.000 0.000 0.000
6 Te 0.390 0.390 0.283
7 Te 0.610 0.610 0.717
8 N 0.306 0.306 0.633
9 N 0.694 0.694 0.367